1.
For ScPaCl6, a DFT-relaxed cell (PBE, Alexandria) gives the computed X-ray powder pattern in this record (Cu Kα, 1.54184 Å).

Structural model:
```
8
Lattice="3.382 1.953 6.071 -3.382 1.953 6.071 0.000 -3.905 6.071" Properties=species:S:1:pos:R:3 pbc="T T T"
Sc 0.000 0.000 0.000
Pa 0.000 0.000 9.106
Cl -0.915 -2.032 7.537
Cl -2.217 -0.223 10.675
Cl -1.302 1.808 7.537
Cl 1.302 -1.808 10.675
Cl 2.217 0.223 7.537
Cl 0.915 2.032 10.675
```

Main lines, most intense first (2θ = 10–90°):
2θ = 18.01°, intensity 100.0; 2θ = 30.25°, intensity 43.5; 2θ = 39.91°, intensity 42.0; 2θ = 15.89°, intensity 40.1; 2θ = 24.77°, intensity 32.6; 2θ = 36.48°, intensity 20.3

---

2.
For PaSeCl3, a DFT-relaxed cell (PBE, Alexandria) gives the computed X-ray powder pattern in this record (Cu Kα, 1.54184 Å).

Structural model:
```
20
Lattice="7.172 0.000 0.000 0.000 7.644 0.000 -1.934 0.000 13.511" Properties=species:S:1:pos:R:3 pbc="T T T"
Pa 0.357 0.997 1.849
Pa -0.610 6.648 8.605
Pa 5.848 0.997 4.906
Pa 4.881 6.648 11.661
Se 0.512 3.037 4.011
Se -0.455 4.607 10.766
Se 5.693 3.037 2.745
Se 4.726 4.607 9.500
Cl -0.015 1.367 7.302
Cl 0.952 6.278 0.546
Cl 0.060 0.381 10.850
Cl 1.027 7.264 4.094
Cl 2.466 2.072 0.932
Cl 1.499 5.572 7.687
Cl 3.739 2.072 5.823
Cl 2.772 5.572 12.579
Cl 4.211 0.381 9.416
Cl 5.178 7.264 2.661
Cl 4.286 1.367 12.965
Cl 5.253 6.278 6.209
```

Main lines, most intense first (2θ = 10–90°):
2θ = 12.47°, intensity 100.0; 2θ = 13.31°, intensity 81.4; 2θ = 32.09°, intensity 45.2; 2θ = 11.58°, intensity 37.2; 2θ = 18.91°, intensity 35.4; 2θ = 35.84°, intensity 25.5

---

3.
For Pa2SiCl2, a DFT-relaxed cell (PBE, Alexandria) gives the computed X-ray powder pattern in this record (Cu Kα, 1.54184 Å).

Structural model:
```
5
Lattice="2.006 1.158 10.165 -2.006 1.158 10.165 0.000 -2.316 10.165" Properties=species:S:1:pos:R:3 pbc="T T T"
Pa 0.000 0.000 3.561
Pa 0.000 0.000 26.934
Si 0.000 0.000 15.248
Cl 0.000 0.000 8.320
Cl 0.000 0.000 22.176
```

Main lines, most intense first (2θ = 10–90°):
2θ = 29.59°, intensity 100.0; 2θ = 34.94°, intensity 66.0; 2θ = 28.23°, intensity 62.7; 2θ = 25.81°, intensity 55.5; 2θ = 45.21°, intensity 43.9; 2θ = 46.72°, intensity 39.0